# 1
The following is a theoretical powder diffraction line list of ZnCuC8N5. It was derived from the PBE geometry in the Materials Project, using copper Kα.
Kinematic intensities with the Lorentz-polarization factor, no thermal factor.

Peak list (6 most intense, 10° ≤ 2θ ≤ 80°, by angle)
13.1 deg, d 6.760, I 91; 21.5 deg, d 4.140, I 100; 33.4 deg, d 2.686, I 25; 37.6 deg, d 2.390, I 27; 45.8 deg, d 1.979, I 18; 59.0 deg, d 1.565, I 20

Crystal structure
a b c (Å): 8.2799 8.2799 8.2799
angles (deg): 60.00 60.00 60.00
Sites, in units of the cell vectors:
Zn 0.0000 0.0000 0.0000
Cu 0.7500 0.7500 0.7500
C 0.0330 0.3223 0.3223
C 0.3223 0.0330 0.3223
C 0.3223 0.3223 0.0330
C 0.3223 0.3223 0.3223
C 0.4634 0.8455 0.8455
C 0.8455 0.4634 0.8455
C 0.8455 0.8455 0.4634
C 0.8455 0.8455 0.8455
N 0.2500 0.2500 0.2500
N 0.2903 0.9032 0.9032
N 0.9032 0.2903 0.9032
N 0.9032 0.9032 0.2903
N 0.9032 0.9032 0.9032

=====

# 2
The following is a theoretical powder diffraction line list of KLa2Ag3Te8. It was derived from the PBE geometry in the Materials Project, using copper Kα.
Kinematic intensities with the Lorentz-polarization factor, no thermal factor.

Peak list (6 most intense, 10° ≤ 2θ ≤ 80°, by angle)
12.2 deg, d 7.238, I 32; 28.8 deg, d 3.102, I 30; 29.5 deg, d 3.023, I 51; 31.0 deg, d 2.887, I 49; 32.9 deg, d 2.723, I 100; 40.5 deg, d 2.226, I 75

Crystal structure
a b c (Å): 4.4515 4.4515 21.7144
angles (deg): 90.00 90.00 90.00
Sites, in units of the cell vectors:
K 0.0000 0.0000 0.0000
La 0.0000 0.0000 0.4597
La 0.5000 0.5000 0.2612
Ag 0.0000 0.5000 0.8381
Ag 0.5000 0.0000 0.8381
Ag 0.5000 0.5000 0.7460
Te 0.0000 0.0000 0.3038
Te 0.0000 0.0000 0.7430
Te 0.0000 0.5000 0.1422
Te 0.0000 0.5000 0.5796
Te 0.5000 0.0000 0.1422
Te 0.5000 0.0000 0.5796
Te 0.5000 0.5000 0.4169
Te 0.5000 0.5000 0.9222

=====

# 3
The following is a theoretical powder diffraction line list of Cs3Li2Br5. It was derived from the PBE geometry in the Materials Project, using copper Kα.
Kinematic intensities with the Lorentz-polarization factor, no thermal factor.

Peak list (6 most intense, 10° ≤ 2θ ≤ 80°, by angle)
27.6 deg, d 3.227, I 50; 28.1 deg, d 3.171, I 100; 28.3 deg, d 3.157, I 97; 28.6 deg, d 3.119, I 47; 40.2 deg, d 2.243, I 33; 49.2 deg, d 1.851, I 35

Crystal structure
a b c (Å): 13.4635 13.4635 4.4640
angles (deg): 99.46 99.46 147.00
Sites, in units of the cell vectors:
Cs 0.0000 0.0000 0.0000
Cs 0.3835 0.6289 0.5297
Cs 0.6289 0.3835 0.5297
Li 0.2583 0.8263 0.5704
Li 0.8263 0.2583 0.5704
Br 0.1158 0.8780 0.5158
Br 0.2067 0.6825 0.9742
Br 0.4986 0.4986 0.0023
Br 0.6825 0.2067 0.9742
Br 0.8780 0.1158 0.5158

=====

# 4
The following is a theoretical powder diffraction line list of KErC2O6. It was derived from the PBE geometry in the Materials Project, using copper Kα.
Kinematic intensities with the Lorentz-polarization factor, no thermal factor.

Peak list (6 most intense, 10° ≤ 2θ ≤ 80°, by angle)
14.5 deg, d 6.104, I 100; 22.3 deg, d 3.983, I 26; 23.2 deg, d 3.828, I 40; 27.6 deg, d 3.235, I 46; 28.7 deg, d 3.108, I 87; 35.8 deg, d 2.508, I 26

Crystal structure
a b c (Å): 6.3821 6.3821 6.9253
angles (deg): 103.78 103.78 96.17
Sites, in units of the cell vectors:
K 0.1203 0.8797 0.7500
K 0.8797 0.1203 0.2500
Er 0.4041 0.5959 0.2500
Er 0.5959 0.4041 0.7500
C 0.1453 0.3900 0.7429
C 0.3900 0.1453 0.2429
C 0.6100 0.8547 0.7571
C 0.8547 0.6100 0.2571
O 0.0580 0.6046 0.2794
O 0.2166 0.2495 0.6165
O 0.2495 0.2166 0.1165
O 0.2978 0.5337 0.8934
O 0.3954 0.9420 0.2206
O 0.4663 0.7022 0.6066
O 0.5337 0.2978 0.3934
O 0.6046 0.0580 0.7794
O 0.7022 0.4663 0.1066
O 0.7505 0.7834 0.8835
O 0.7834 0.7505 0.3835
O 0.9420 0.3954 0.7206

=====

# 5
The following is a theoretical powder diffraction line list of Sr5Sn3. It was derived from the PBE geometry in the Materials Project, using copper Kα.
Kinematic intensities with the Lorentz-polarization factor, no thermal factor.

Peak list (6 most intense, 10° ≤ 2θ ≤ 80°, by angle)
18.1 deg, d 4.905, I 20; 28.3 deg, d 3.158, I 100; 30.0 deg, d 2.981, I 48; 32.8 deg, d 2.729, I 51; 35.8 deg, d 2.507, I 27; 59.0 deg, d 1.565, I 25

Crystal structure
a b c (Å): 10.2580 10.2580 10.2580
angles (deg): 130.26 130.26 73.00
Sites, in units of the cell vectors:
Sr 0.0000 0.0000 0.0000
Sr 0.0347 0.5347 0.8518
Sr 0.1830 0.0347 0.5000
Sr 0.3170 0.8170 0.8518
Sr 0.4653 0.3170 0.5000
Sr 0.5000 0.5000 0.0000
Sr 0.5347 0.6830 0.5000
Sr 0.6830 0.1830 0.1482
Sr 0.8170 0.9653 0.5000
Sr 0.9653 0.4653 0.1482
Sn 0.1212 0.3788 0.5000
Sn 0.2500 0.2500 0.0000
Sn 0.3788 0.8788 0.2575
Sn 0.6212 0.1212 0.7425
Sn 0.7500 0.7500 0.0000
Sn 0.8788 0.6212 0.5000

=====

# 6
The following is a theoretical powder diffraction line list of Ba4Li2Cd3P6. It was derived from the PBE geometry in the Materials Project, using copper Kα.
Kinematic intensities with the Lorentz-polarization factor, no thermal factor.

Peak list (6 most intense, 10° ≤ 2θ ≤ 80°, by angle)
25.6 deg, d 3.476, I 100; 30.3 deg, d 2.955, I 70; 31.9 deg, d 2.808, I 90; 33.8 deg, d 2.651, I 89; 39.9 deg, d 2.258, I 70; 49.4 deg, d 1.846, I 93

Crystal structure
a b c (Å): 10.2856 10.2856 16.9674
angles (deg): 90.00 90.00 154.63
Sites, in units of the cell vectors:
Ba 0.0162 0.9838 0.6223
Ba 0.0162 0.9838 0.8777
Ba 0.1716 0.8284 0.0684
Ba 0.1716 0.8284 0.4316
Ba 0.8284 0.1716 0.5684
Ba 0.8284 0.1716 0.9316
Ba 0.9838 0.0162 0.1223
Ba 0.9838 0.0162 0.3777
Li 0.1508 0.8492 0.7500
Li 0.4370 0.5630 0.7500
Li 0.5630 0.4370 0.2500
Li 0.8492 0.1508 0.2500
Cd 0.2961 0.7039 0.7500
Cd 0.3495 0.6505 0.1257
Cd 0.3495 0.6505 0.3743
Cd 0.6505 0.3495 0.6257
Cd 0.6505 0.3495 0.8743
Cd 0.7039 0.2961 0.2500
P 0.1203 0.8797 0.2500
P 0.2195 0.7805 0.6185
P 0.2195 0.7805 0.8815
P 0.4303 0.5697 0.2500
P 0.4442 0.5558 0.5112
P 0.4442 0.5558 0.9888
P 0.5558 0.4442 0.0112
P 0.5558 0.4442 0.4888
P 0.5697 0.4303 0.7500
P 0.7805 0.2195 0.1185
P 0.7805 0.2195 0.3815
P 0.8797 0.1203 0.7500

=====

# 7
The following is a theoretical powder diffraction line list of Ba3Y. It was derived from the PBE geometry in the Materials Project, using copper Kα.
Kinematic intensities with the Lorentz-polarization factor, no thermal factor.

Peak list (6 most intense, 10° ≤ 2θ ≤ 80°, by angle)
24.3 deg, d 3.656, I 23; 26.5 deg, d 3.368, I 25; 27.8 deg, d 3.214, I 100; 42.8 deg, d 2.111, I 20; 47.5 deg, d 1.913, I 22; 51.1 deg, d 1.789, I 24

Crystal structure
a b c (Å): 8.4442 8.4442 6.7362
angles (deg): 90.00 90.00 120.00
Sites, in units of the cell vectors:
Ba 0.1721 0.3442 0.2500
Ba 0.1721 0.8279 0.2500
Ba 0.3442 0.1721 0.7500
Ba 0.6558 0.8279 0.2500
Ba 0.8279 0.1721 0.7500
Ba 0.8279 0.6558 0.7500
Y 0.3333 0.6667 0.7500
Y 0.6667 0.3333 0.2500

=====

# 8
The following is a theoretical powder diffraction line list of EuTiAgO4. It was derived from the PBE geometry in the Materials Project, using copper Kα.
Kinematic intensities with the Lorentz-polarization factor, no thermal factor.

Peak list (6 most intense, 10° ≤ 2θ ≤ 80°, by angle)
31.2 deg, d 2.865, I 100; 34.2 deg, d 2.623, I 27; 34.3 deg, d 2.614, I 27; 39.9 deg, d 2.260, I 17; 49.2 deg, d 1.852, I 26; 59.4 deg, d 1.557, I 19

Crystal structure
a b c (Å): 13.5622 5.2458 5.2289
angles (deg): 90.00 90.00 90.00
Sites, in units of the cell vectors:
Eu 0.1032 0.0074 0.2500
Eu 0.1032 0.4926 0.7500
Eu 0.8968 0.5074 0.2500
Eu 0.8968 0.9926 0.7500
Ti 0.2662 0.5023 0.2500
Ti 0.2662 0.9977 0.7500
Ti 0.7338 0.0023 0.2500
Ti 0.7338 0.4977 0.7500
Ag 0.4265 0.5091 0.7500
Ag 0.4265 0.9909 0.2500
Ag 0.5735 0.0091 0.7500
Ag 0.5735 0.4909 0.2500
O 0.0655 0.0202 0.7500
O 0.0655 0.4798 0.2500
O 0.2229 0.7500 0.0000
O 0.2229 0.7500 0.5000
O 0.2290 0.2500 0.0000
O 0.2290 0.2500 0.5000
O 0.3990 0.5088 0.2500
O 0.3990 0.9912 0.7500
O 0.6010 0.0088 0.2500
O 0.6010 0.4912 0.7500
O 0.7710 0.7500 0.0000
O 0.7710 0.7500 0.5000
O 0.7771 0.2500 0.0000
O 0.7771 0.2500 0.5000
O 0.9345 0.5202 0.7500
O 0.9345 0.9798 0.2500

=====

# 9
The following is a theoretical powder diffraction line list of AuBr. It was derived from the PBE geometry in the Materials Project, using copper Kα.
Kinematic intensities with the Lorentz-polarization factor, no thermal factor.

Peak list (6 most intense, 10° ≤ 2θ ≤ 80°, by angle)
13.3 deg, d 6.649, I 100; 29.6 deg, d 3.016, I 82; 35.4 deg, d 2.539, I 52; 43.5 deg, d 2.080, I 36; 44.9 deg, d 2.018, I 27; 49.9 deg, d 1.829, I 36

Crystal structure
a b c (Å): 4.3798 4.3798 13.2974
angles (deg): 90.00 90.00 90.00
Sites, in units of the cell vectors:
Au 0.0000 0.0000 0.0000
Au 0.0000 0.5000 0.5000
Au 0.5000 0.0000 0.5000
Au 0.5000 0.5000 0.0000
Br 0.2500 0.2500 0.1468
Br 0.2500 0.2500 0.6468
Br 0.7500 0.7500 0.3532
Br 0.7500 0.7500 0.8532

=====

# 10
The following is a theoretical powder diffraction line list of Zn3BO5. It was derived from the PBE geometry in the Materials Project, using copper Kα.
Kinematic intensities with the Lorentz-polarization factor, no thermal factor.

Peak list (6 most intense, 10° ≤ 2θ ≤ 80°, by angle)
17.1 deg, d 5.180, I 52; 34.4 deg, d 2.609, I 79; 34.6 deg, d 2.590, I 100; 37.2 deg, d 2.414, I 33; 46.5 deg, d 1.955, I 34; 60.9 deg, d 1.522, I 30

Crystal structure
a b c (Å): 9.4216 12.4011 3.1343
angles (deg): 90.00 90.00 90.00
Sites, in units of the cell vectors:
Zn 0.0000 0.0000 0.0000
Zn 0.0000 0.5000 0.5000
Zn 0.0068 0.2211 0.5000
Zn 0.2401 0.3824 0.0000
Zn 0.2599 0.8824 0.0000
Zn 0.4932 0.7211 0.5000
Zn 0.5000 0.0000 0.5000
Zn 0.5000 0.5000 0.0000
Zn 0.5068 0.2789 0.5000
Zn 0.7401 0.1176 0.0000
Zn 0.7599 0.6176 0.0000
Zn 0.9932 0.7789 0.5000
B 0.2218 0.6395 0.0000
B 0.2782 0.1395 0.0000
B 0.7218 0.8605 0.0000
B 0.7782 0.3605 0.0000
O 0.1053 0.9199 0.5000
O 0.1070 0.3585 0.5000
O 0.1311 0.1417 0.0000
O 0.1467 0.7359 0.0000
O 0.1489 0.5426 0.0000
O 0.3511 0.0426 0.0000
O 0.3533 0.2359 0.0000
O 0.3689 0.6417 0.0000
O 0.3930 0.8585 0.5000
O 0.3947 0.4199 0.5000
O 0.6053 0.5801 0.5000
O 0.6070 0.1415 0.5000
O 0.6311 0.3583 0.0000
O 0.6467 0.7641 0.0000
O 0.6489 0.9574 0.0000
O 0.8511 0.4574 0.0000
O 0.8533 0.2641 0.0000
O 0.8689 0.8583 0.0000
O 0.8930 0.6415 0.5000
O 0.8947 0.0801 0.5000

=====

# 11
The following is a theoretical powder diffraction line list of SrTi4SnO12. It was derived from the PBE geometry in the Materials Project, using copper Kα.
Kinematic intensities with the Lorentz-polarization factor, no thermal factor.

Peak list (6 most intense, 10° ≤ 2θ ≤ 80°, by angle)
19.7 deg, d 4.497, I 91; 32.5 deg, d 2.754, I 100; 38.3 deg, d 2.348, I 51; 46.6 deg, d 1.949, I 36; 58.0 deg, d 1.590, I 39; 68.1 deg, d 1.377, I 30

Crystal structure
a b c (Å): 5.5113 5.5113 7.7777
angles (deg): 90.00 90.00 90.00
Sites, in units of the cell vectors:
Sr 0.0000 0.0000 0.0000
Ti 0.0000 0.5000 0.2501
Ti 0.0000 0.5000 0.7499
Ti 0.5000 0.0000 0.2501
Ti 0.5000 0.0000 0.7499
Sn 0.5000 0.5000 0.5000
O 0.0000 0.5000 0.0000
O 0.0000 0.5000 0.5000
O 0.2533 0.2533 0.2538
O 0.2533 0.2533 0.7462
O 0.2533 0.7467 0.2538
O 0.2533 0.7467 0.7462
O 0.5000 0.0000 0.0000
O 0.5000 0.0000 0.5000
O 0.7467 0.2533 0.2538
O 0.7467 0.2533 0.7462
O 0.7467 0.7467 0.2538
O 0.7467 0.7467 0.7462